The following is a simulated X-ray diffraction stick pattern of Cs2TbH4. It was derived from a DFT-relaxed cell (GGA-PBE, Alexandria), using a wavelength of 1.5418 Å.

Structure:
Cell: 4.4687 4.4687 15.9558 Å, 90.00 90.00 90.00°
Space group I4/mmm (No. 139)
Symmetry-distinct sites (fractional):
1 Cs 0.0000 0.0000 0.1560
2 Tb 0.0000 0.0000 0.5000
3 H 0.0000 0.0000 0.3592
4 H 0.0000 0.5000 0.0000

The 6 most intense peaks (2θ = 10–90°), by angle:
hkl 1 0 3, 2θ = 26.04°, intensity 100
hkl 1 1 0, 2θ = 28.24°, intensity 42
hkl 2 0 0, 2θ = 40.37°, intensity 16
hkl 1 1 6, 2θ = 44.53°, intensity 22
hkl 2 1 3, 2θ = 48.67°, intensity 36
hkl 2 0 6, 2θ = 53.57°, intensity 13